Starting from a structure optimized by DFT (PBE+U), the PXRD pattern of Fe5O7 was simulated for copper Kα.
No peak broadening, texture or thermal motion is included.

Cell: 2.989 10.112 19.062 Å, 90.00 90.00 90.00°
Space group Cmcm (No. 63)
Inequivalent atoms, fractional coordinates:
Fe 0.000 0.000 0.000
Fe 0.000 0.260 0.075
Fe 0.000 0.481 0.662
O 0.000 0.104 0.600
O 0.000 0.143 0.154
O 0.000 0.352 0.526
O 0.000 0.448 0.250

Top 12 peaks for 10 to 90 degrees two-theta, sorted by position:
19.88°, d 4.466, rel. 38
32.63°, d 2.745, rel. 37
33.31°, d 2.690, rel. 100
34.33°, d 2.613, rel. 21
35.51°, d 2.528, rel. 26
41.48°, d 2.177, rel. 46
42.88°, d 2.109, rel. 41
44.77°, d 2.024, rel. 35
58.09°, d 1.588, rel. 29
60.36°, d 1.533, rel. 20
62.37°, d 1.489, rel. 20
72.34°, d 1.306, rel. 19